Starting from the GGA+U geometry in Alexandria, the powder X-ray diffraction pattern of Rb3LiErV2O8 was simulated for copper Kα.
Intensities are scaled so that the largest is 100.

The 6 most intense peaks (2θ = 10–90°), in order of falling intensity:
| 2θ (°) | Rel. int. |
| --- | --- |
| 29.78 | 100 |
| 27.29 | 73 |
| 26.18 | 57 |
| 29.12 | 56 |
| 26.39 | 43 |
| 40.81 | 33 |

Cell and atoms:
```
Rb3LiErV2O8
1.0
5.1705 -3.0665 0.0000
5.1705 3.0665 0.0000
-0.5621 0.0000 8.5518
Rb Li Er V O
3 1 1 2 8
direct
0.0000 0.0000 0.0000
0.3357 0.3357 0.7628
0.6643 0.6643 0.2372
0.5000 0.5000 0.5000
0.0000 0.0000 0.5000
0.3126 0.3126 0.2742
0.6874 0.6874 0.7258
0.1448 0.1448 0.3080
0.1725 0.6231 0.3734
0.3408 0.3408 0.0792
0.3769 0.8275 0.6266
0.6231 0.1725 0.3734
0.6592 0.6592 0.9208
0.8275 0.3769 0.6266
0.8552 0.8552 0.6920
```